No. 1
Structure and calculated powder X-ray diffraction pattern of Tb2CdPt3 (the PBE geometry in Alexandria; Cu Kα (weighted mean of Kα1 and Kα2)).
Kinematic intensities with the Lorentz-polarization factor, no thermal factor.

Main lines, low angle first (10° ≤ 2θ ≤ 90°):
h k l	2theta	Rel. int.
1 1 4	33.24	100
2 1 0	33.40	71
0 1 5	34.66	74
1 1 5	36.75	37
2 1 3	36.89	87
0 0 8	41.37	39
3 0 4	41.76	56
3 1 1	43.59	41
0 2 0	47.14	58
3 2 4	64.78	31

```
data_Tb2CdPt3
_symmetry_space_group_name_H-M 'P n m a'
_symmetry_Int_Tables_number 62
_cell_length_a 7.470
_cell_length_b 3.856
_cell_length_c 17.460
_cell_angle_alpha 90.00
_cell_angle_beta 90.00
_cell_angle_gamma 90.00
loop_
_symmetry_equiv_pos_as_xyz
'x,y,z'
'-x,-y,-z'
'-x+1/2,-y,z+1/2'
'x+1/2,y,-z+1/2'
'x+1/2,-y+1/2,-z+1/2'
'-x+1/2,y+1/2,z+1/2'
'-x,y+1/2,-z'
'x,-y+1/2,z'
loop_
_atom_site_label
_atom_site_type_symbol
_atom_site_fract_x
_atom_site_fract_y
_atom_site_fract_z
Tb1 Tb 0.098 0.250 0.214
Tb2 Tb 0.151 0.250 0.429
Cd1 Cd 0.010 0.750 0.063
Pt1 Pt 0.085 0.250 0.659
Pt2 Pt 0.208 0.250 0.810
Pt3 Pt 0.226 0.750 0.555
```

No. 2
Structure and calculated powder X-ray diffraction pattern of Tm8Cd3Sb2 (the PBE geometry in Alexandria; Cu Kα (weighted mean of Kα1 and Kα2)).
Kinematic intensities with the Lorentz-polarization factor, no thermal factor.

Main lines, low angle first (10° ≤ 2θ ≤ 90°):
h k l	2theta	Rel. int.
2 2 1	28.48	93
2 0 -2	31.51	60
2 0 2	31.62	42
5 1 0	32.38	86
1 3 -1	35.72	100
3 1 -2	36.05	26
3 1 2	36.22	26
3 3 0	37.01	25
3 3 -1	39.86	24
1 3 2	44.18	23

```
data_Tm8Cd3Sb2
_symmetry_space_group_name_H-M 'C 1 2/m 1'
_symmetry_Int_Tables_number 12
_cell_length_a 14.647
_cell_length_b 8.401
_cell_length_c 6.150
_cell_angle_alpha 90.00
_cell_angle_beta 90.34
_cell_angle_gamma 90.00
loop_
_symmetry_equiv_pos_as_xyz
'x,y,z'
'-x,-y,-z'
'-x,y,-z'
'x,-y,z'
'x+1/2,y+1/2,z'
'-x+1/2,-y+1/2,-z'
'-x+1/2,y+1/2,-z'
'x+1/2,-y+1/2,z'
loop_
_atom_site_label
_atom_site_type_symbol
_atom_site_fract_x
_atom_site_fract_y
_atom_site_fract_z
Tm1 Tm 0.088 0.000 0.153
Tm2 Tm 0.121 0.200 0.653
Tm3 Tm 0.189 0.500 0.081
Cd1 Cd 0.000 0.328 0.000
Cd2 Cd 0.000 0.500 0.500
Sb1 Sb 0.232 0.500 0.574
```